Computed XRD peak list of BaLa2Mn3O9 for Cu Kα (weighted mean of Kα1 and Kα2), from a crystal structure in the Materials Project, relaxed with GGA+U.

```
BaLa2Mn3O9
1.0
5.6294 0.0000 0.0000
-2.8147 4.8752 0.0000
0.0000 0.0000 13.6703
Ba La Mn O
2 4 6 18
direct
0.0000 0.0000 0.2500
0.0000 0.0000 0.7500
0.3333 0.6667 0.0820
0.3333 0.6667 0.5820
0.6667 0.3333 0.4180
0.6667 0.3333 0.9180
0.0000 0.0000 0.0000
0.0000 0.0000 0.5000
0.3333 0.6667 0.3333
0.3333 0.6667 0.8333
0.6667 0.3333 0.1667
0.6667 0.3333 0.6667
0.0000 0.4791 0.2500
0.0000 0.5209 0.7500
0.1121 0.3409 0.9232
0.1121 0.7711 0.4232
0.2289 0.3409 0.4232
0.2289 0.8879 0.9232
0.3409 0.1121 0.5768
0.3409 0.2289 0.0768
0.4791 0.0000 0.2500
0.4791 0.4791 0.7500
0.5209 0.0000 0.7500
0.5209 0.5209 0.2500
0.6591 0.7711 0.9232
0.6591 0.8879 0.4232
0.7711 0.1121 0.0768
0.7711 0.6591 0.5768
0.8879 0.2289 0.5768
0.8879 0.6591 0.0768
```

Peak list (10 most intense, 10 to 80 degrees two-theta, sorted by position)
hkl 1 0 2, 2θ 22.4, rel. 30
hkl 1 1 0, 2θ 31.8, rel. 98
hkl 0 1 4, 2θ 32.0, rel. 100
hkl 0 2 2, 2θ 39.2, rel. 27
hkl 2 0 4, 2θ 45.7, rel. 63
hkl 3 0 0, 2θ 56.6, rel. 22
hkl 1 2 4, 2θ 56.8, rel. 40
hkl 1 0 8, 2θ 57.1, rel. 19
hkl 2 2 0, 2θ 66.4, rel. 17
hkl 0 2 8, 2θ 66.9, rel. 18